Computed X-ray diffraction stick pattern
Compound: Mn2RuN3
Radiation: Cu Kα (λ = 1.5418 Å)
Structure: a cell relaxed with PBE

Largest 6 diffraction maxima, low angle first, 10 to 80 degrees two-theta:
2θ 19.0, I 23.8; 2θ 32.5, I 26.1; 2θ 34.7, I 38.9; 2θ 36.5, I 47.7; 2θ 37.4, I 37.6; 2θ 39.3, I 100.0

Cell and atoms:
```
12
Lattice="4.3936 -2.7586 0.0000 4.3936 2.7586 0.0000 0.0000 0.0000 4.9234" Properties=species:S:1:pos:R:3 pbc="T T T"
Mn 2.8231 1.6175 2.4617
Mn 5.9642 1.6175 2.4617
Mn 2.8231 -1.6175 0.0000
Mn 5.9642 -1.6175 0.0000
Ru 4.3936 0.7842 4.5430
Ru 4.3936 -0.7842 2.0813
N 1.4558 0.6009 1.7785
N 1.4558 -0.6009 4.2402
N 4.3936 1.1670 1.5834
N 4.3936 -1.1670 4.0451
N 7.3314 0.6009 1.7785
N 7.3314 -0.6009 4.2402
```

=====

Computed X-ray diffraction stick pattern
Compound: Mn2RuN3
Radiation: Cu Kα (λ = 1.5418 Å)
Structure: a cell relaxed with PBE

Largest 6 diffraction maxima, low angle first, 10 to 80 degrees two-theta:
2θ 29.4, I 26.7; 2θ 31.4, I 37.8; 2θ 37.0, I 100.0; 2θ 37.4, I 62.1; 2θ 47.1, I 28.2; 2θ 49.3, I 20.2

Cell and atoms:
```
24
Lattice="2.8471 -5.5455 0.0000 2.8471 5.5455 0.0000 -0.1808 0.0000 7.7223" Properties=species:S:1:pos:R:3 pbc="T T T"
Mn 1.9121 3.3191 4.8732
Mn 1.5788 1.7218 6.8217
Mn 3.5108 3.3191 6.7102
Mn 1.6692 -1.7218 2.9606
Mn 3.8442 1.7218 4.7617
Mn 2.0025 -3.3191 1.0121
Mn 3.9346 -1.7218 0.9006
Mn 3.6012 -3.3191 2.8491
Ru 0.9870 0.1331 4.9060
Ru 1.0774 -0.1331 1.0449
Ru 4.4359 0.1331 6.6774
Ru 4.5263 -0.1331 2.8162
N 0.9899 1.8677 0.9928
N 2.8019 4.0418 1.9306
N 2.0595 1.6498 3.9190
N 0.8995 -1.8677 4.8539
N 2.7115 0.5441 5.7917
N 3.3634 1.6498 7.6644
N 2.1499 -1.6498 0.0578
N 2.8019 -0.5441 1.9306
N 4.6139 1.8677 2.8683
N 3.4538 -1.6498 3.8033
N 2.7115 -4.0418 5.7917
N 4.5235 -1.8677 6.7295
```

=====

Computed X-ray diffraction stick pattern
Compound: Mn2SbN
Radiation: Cu Kα (λ = 1.5418 Å)
Structure: a cell relaxed with PBE

Largest 6 diffraction maxima, low angle first, 10 to 80 degrees two-theta:
2θ 25.7, I 100.0; 2θ 39.3, I 27.3; 2θ 45.4, I 55.9; 2θ 46.6, I 25.5; 2θ 48.6, I 35.1; 2θ 55.8, I 22.7

Cell and atoms:
```
8
Lattice="3.7477 0.0000 0.0000 0.0000 3.7477 0.0000 0.0000 0.0000 9.1395" Properties=species:S:1:pos:R:3 pbc="T T T"
Mn 0.9369 0.9369 0.1421
Mn 0.9369 2.8108 4.5698
Mn 2.8108 0.9369 4.5698
Mn 2.8108 2.8108 8.9975
Sb 0.9369 0.9369 2.7526
Sb 2.8108 2.8108 6.3869
N 0.9369 2.8108 0.0000
N 2.8108 0.9369 0.0000
```